Theoretical PXRD pattern of AgHgAsO4 for Cu Kα (weighted mean of Kα1 and Kα2), from the PBE geometry in the Materials Project.
Peak positions follow from Bragg's law for the DFT cell and can differ from measured ones.

Principal peaks in the range 2θ = 15–90°, in order of rising 2θ:
21.65°, d = 4.105 Å, I 197, hkl 0 2 2; 29.04°, d = 3.075 Å, I 1000, hkl 0 4 0; 31.83°, d = 2.811 Å, I 523, hkl 2 2 0; 35.76°, d = 2.511 Å, I 271, hkl 1 3 3; 46.68°, d = 1.946 Å, I 209, hkl 1 5 3; 53.23°, d = 1.721 Å, I 144, hkl 2 6 0

Structural model:
abc: 6.3196 12.3119 11.0148
angles: 90.00 90.00 90.00
Space group Fdd2 (No. 43)
Symmetry-distinct sites (fractional):
Ag  0.0000  0.0000  0.0000 (multiplicity 8)
Hg  0.0000  0.0000  0.3739 (multiplicity 8)
As  0.0000  0.0000  0.6922 (multiplicity 8)
O  0.0893  0.1743  0.0356 (multiplicity 16)
O  0.1066  0.3307  0.8400 (multiplicity 16)

***

Theoretical PXRD pattern of AgHg2AsO4 for Cu Kα (weighted mean of Kα1 and Kα2), from the PBE geometry in the Materials Project.
Peak positions follow from Bragg's law for the DFT cell and can differ from measured ones.

Principal peaks in the range 2θ = 15–90°, in order of rising 2θ:
18.00°, d = 4.929 Å, I 344, hkl 0 2 0; 26.88°, d = 3.317 Å, I 1000, hkl 2 2 0; 33.48°, d = 2.676 Å, I 378, hkl 0 2 2; 34.52°, d = 2.598 Å, I 564, hkl 2 0 2; 39.20°, d = 2.298 Å, I 215, hkl 2 2 2; 44.33°, d = 2.043 Å, I 200, hkl 4 2 0

Structural model:
abc: 8.9702 9.8570 6.3746
angles: 90.00 90.00 90.00
Space group Pbam (No. 55)
Symmetry-distinct sites (fractional):
Ag  0.0296  0.1437  0.0000 (multiplicity 4)
Hg  0.2419  0.9680  0.2115 (multiplicity 8)
As  0.0376  0.7124  0.5000 (multiplicity 4)
O  0.0596  0.3040  0.2679 (multiplicity 8)
O  0.1168  0.8725  0.5000 (multiplicity 4)
O  0.1756  0.5873  0.5000 (multiplicity 4)

***

Theoretical PXRD pattern of K3Ag3As2 for Cu Kα (weighted mean of Kα1 and Kα2), from the PBE geometry in the Materials Project.
Peak positions follow from Bragg's law for the DFT cell and can differ from measured ones.

Principal peaks in the range 2θ = 15–90°, in order of rising 2θ:
18.71°, d = 4.743 Å, I 959, hkl 0 1 2; 26.71°, d = 3.337 Å, I 511, hkl 0 1 5; 34.20°, d = 2.622 Å, I 797, hkl 0 2 1; 37.94°, d = 2.371 Å, I 1000, hkl 0 2 4; 38.75°, d = 2.324 Å, I 749, hkl 1 1 6; 48.29°, d = 1.885 Å, I 599, hkl 2 0 8

Structural model:
abc: 6.1008 6.1008 21.5230
angles: 90.00 90.00 120.00
Space group R-3m (No. 166, hexagonal axes)
Symmetry-distinct sites (fractional):
K  0.0000  0.0000  0.0000 (multiplicity 3)
K  0.0000  0.0000  0.4088 (multiplicity 6)
Ag  0.0000  0.5000  0.5000 (multiplicity 9)
As  0.0000  0.0000  0.2543 (multiplicity 6)

***

Theoretical PXRD pattern of K2AgAs3Se6 for Cu Kα (weighted mean of Kα1 and Kα2), from the PBE geometry in the Materials Project.
Peak positions follow from Bragg's law for the DFT cell and can differ from measured ones.

Principal peaks in the range 2θ = 15–90°, in order of rising 2θ:
28.73°, d = 3.107 Å, I 697, hkl 1 1 -5; 30.16°, d = 2.963 Å, I 1000, hkl 4 1 -4; 31.09°, d = 2.877 Å, I 914, hkl 3 2 -3; 31.53°, d = 2.837 Å, I 874, hkl 2 2 1; 32.40°, d = 2.764 Å, I 710, hkl 1 0 -6; 37.86°, d = 2.376 Å, I 660, hkl 2 2 -6

Structural model:
abc: 12.9332 7.7859 18.2446
angles: 90.00 126.99 90.00
Space group P2_1/c (No. 14)
Symmetry-distinct sites (fractional):
K  0.0896  0.1104  0.2428 (multiplicity 4)
K  0.2856  0.6286  0.6136 (multiplicity 4)
Ag  0.0276  0.0071  0.4278 (multiplicity 4)
As  0.2797  0.0888  0.6553 (multiplicity 4)
As  0.3291  0.5557  0.3649 (multiplicity 4)
As  0.3831  0.1729  0.5057 (multiplicity 4)
Se  0.0920  0.2326  0.0579 (multiplicity 4)
Se  0.1503  0.6832  0.2274 (multiplicity 4)
Se  0.2177  0.0962  0.9187 (multiplicity 4)
Se  0.2517  0.5743  0.9605 (multiplicity 4)
Se  0.3799  0.2036  0.8101 (multiplicity 4)
Se  0.4513  0.2423  0.6613 (multiplicity 4)

***

Theoretical PXRD pattern of LaAgAs2 for Cu Kα (weighted mean of Kα1 and Kα2), from the PBE geometry in the Materials Project.
Peak positions follow from Bragg's law for the DFT cell and can differ from measured ones.

Principal peaks in the range 2θ = 15–90°, in order of rising 2θ:
32.65°, d = 2.742 Å, I 960, hkl 1 6 1; 33.58°, d = 2.669 Å, I 975, hkl 2 4 0; 34.46°, d = 2.603 Å, I 1000, hkl 0 4 2; 42.23°, d = 2.140 Å, I 893, hkl 2 0 2; 47.44°, d = 1.916 Å, I 536, hkl 1 10 1; 54.98°, d = 1.670 Å, I 216, hkl 1 6 3

Structural model:
abc: 6.1559 21.4325 5.9552
angles: 90.00 90.00 90.00
Space group Pbcm (No. 57)
Symmetry-distinct sites (fractional):
La  0.0058  0.1281  0.2500 (multiplicity 4)
La  0.4779  0.1335  0.7500 (multiplicity 4)
Ag  0.0698  0.5626  0.7500 (multiplicity 4)
Ag  0.2627  0.7500  0.0000 (multiplicity 4)
As  0.0177  0.1806  0.7500 (multiplicity 4)
As  0.2920  0.0072  0.5380 (multiplicity 8)
As  0.4842  0.6650  0.2500 (multiplicity 4)